# 1
Starting from a crystal structure in Alexandria, relaxed with GGA-PBE, the X-ray diffraction stick pattern of TlFe2BiP was calculated for Cu Kα (λ = 1.5418 Å).
Neutral-atom scattering factors, no anomalous dispersion.

The 10 most intense peaks (2θ from 10° to 80°), sorted by position:
| Position (°2θ) | d/Å | I/Imax |
| --- | --- | --- |
| 24.6 | 3.615 | 100 |
| 25.7 | 3.468 | 33 |
| 33.5 | 2.674 | 26 |
| 36.6 | 2.452 | 40 |
| 42.7 | 2.118 | 18 |
| 44.7 | 2.029 | 43 |
| 50.5 | 1.808 | 32 |
| 52.8 | 1.734 | 14 |
| 64.0 | 1.455 | 16 |
| 67.7 | 1.384 | 13 |

Structural model:
```
TlFe2BiP
1.0
4.905 0.000 0.000
0.000 4.905 0.000
0.000 0.000 5.349
Tl Fe Bi P
1 2 1 1
Direct
0.000 0.000 0.000 Tl
0.000 0.500 0.500 Fe
0.500 0.000 0.500 Fe
0.500 0.500 0.500 Bi
0.500 0.500 0.000 P
```


# 2
Starting from a crystal structure in Alexandria, relaxed with GGA-PBE, the X-ray diffraction stick pattern of Fe2BiSb2 was calculated for Cu Kα (λ = 1.5418 Å).
Neutral-atom scattering factors, no anomalous dispersion.

The 10 most intense peaks (2θ from 10° to 80°), sorted by position:
| Position (°2θ) | d/Å | I/Imax |
| --- | --- | --- |
| 22.4 | 3.971 | 16 |
| 32.1 | 2.784 | 36 |
| 32.4 | 2.761 | 15 |
| 33.9 | 2.642 | 100 |
| 42.5 | 2.128 | 39 |
| 46.3 | 1.961 | 19 |
| 54.3 | 1.691 | 16 |
| 58.8 | 1.570 | 14 |
| 64.6 | 1.442 | 14 |
| 72.3 | 1.307 | 22 |

Structural model:
```
Fe2BiSb2
1.0
4.255 0.000 0.000
0.000 4.255 0.000
0.000 0.000 11.045
Fe Bi Sb
4 2 4
Direct
0.000 0.000 0.110 Fe
0.000 0.000 0.890 Fe
0.500 0.500 0.390 Fe
0.500 0.500 0.610 Fe
0.000 0.000 0.500 Bi
0.500 0.500 0.000 Bi
0.000 0.500 0.250 Sb
0.000 0.500 0.750 Sb
0.500 0.000 0.250 Sb
0.500 0.000 0.750 Sb
```